# 1
Diffraction record for BeTlPW2. The XRD peak list is calculated, not measured: it uses a DFT-relaxed cell (PBE, Alexandria) and Cu Kα X-rays.
No peak broadening, texture or thermal motion is included.

Crystal structure
```
data_BeTlPW2
_symmetry_space_group_name_H-M 'P 1'
_symmetry_Int_Tables_number 1
_symmetry_space_group_name_Hall 'P 1'
_cell_length_a 4.422
_cell_length_b 4.422
_cell_length_c 4.291
_cell_angle_alpha 90.00
_cell_angle_beta 90.00
_cell_angle_gamma 90.00
loop_
_atom_site_label
_atom_site_type_symbol
_atom_site_fract_x
_atom_site_fract_y
_atom_site_fract_z
_atom_site_occupancy
Be1 Be 0.000 0.000 0.000 1
Tl1 Tl 0.000 0.000 0.500 1
P1 P 0.500 0.500 0.500 1
W1 W 0.000 0.500 0.000 1
W2 W 0.500 0.000 0.000 1
```

Largest 10 diffraction maxima, sorted by position, 10° ≤ 2θ ≤ 90°:
2theta	d (Å)	Rel. int.
20.08	4.422	18
28.99	3.080	13
35.52	2.527	100
40.81	2.211	36
42.11	2.146	16
59.09	1.564	12
60.09	1.540	23
70.87	1.330	27
72.69	1.301	13
75.19	1.264	12


# 2
Diffraction record for BeV3P2. The XRD peak list is calculated, not measured: it uses a DFT-relaxed cell (PBE, Alexandria) and Cu Kα X-rays.
No peak broadening, texture or thermal motion is included.

Crystal structure
```
data_BeV3P2
_symmetry_space_group_name_H-M 'P 1'
_symmetry_Int_Tables_number 1
_symmetry_space_group_name_Hall 'P 1'
_cell_length_a 9.276
_cell_length_b 3.371
_cell_length_c 9.053
_cell_angle_alpha 90.00
_cell_angle_beta 90.00
_cell_angle_gamma 90.00
loop_
_atom_site_label
_atom_site_type_symbol
_atom_site_fract_x
_atom_site_fract_y
_atom_site_fract_z
_atom_site_occupancy
Be1 Be 0.128 0.250 0.126 1
Be2 Be 0.372 0.750 0.626 1
Be3 Be 0.628 0.250 0.374 1
Be4 Be 0.872 0.750 0.874 1
V1 V 0.051 0.250 0.376 1
V2 V 0.124 0.750 0.939 1
V3 V 0.217 0.250 0.707 1
V4 V 0.283 0.750 0.207 1
V5 V 0.376 0.250 0.439 1
V6 V 0.449 0.750 0.876 1
V7 V 0.551 0.250 0.124 1
V8 V 0.624 0.750 0.561 1
V9 V 0.717 0.250 0.793 1
V10 V 0.783 0.750 0.293 1
V11 V 0.876 0.250 0.061 1
V12 V 0.949 0.750 0.624 1
P1 P 0.017 0.750 0.187 1
P2 P 0.187 0.750 0.502 1
P3 P 0.313 0.250 0.002 1
P4 P 0.483 0.250 0.687 1
P5 P 0.517 0.750 0.313 1
P6 P 0.687 0.750 0.998 1
P7 P 0.813 0.250 0.498 1
P8 P 0.983 0.250 0.813 1
```

Largest 10 diffraction maxima, sorted by position, 10° ≤ 2θ ≤ 90°:
2theta	d (Å)	Rel. int.
34.35	2.611	26
35.15	2.553	35
38.54	2.336	46
40.11	2.248	100
40.84	2.210	32
41.05	2.199	25
41.32	2.185	27
44.52	2.035	71
48.71	1.869	22
54.43	1.686	47


# 3
Diffraction record for BeZnP. The XRD peak list is calculated, not measured: it uses a DFT-relaxed cell (PBE, Alexandria) and Cu Kα X-rays.
No peak broadening, texture or thermal motion is included.

Crystal structure
```
data_BeZnP
_symmetry_space_group_name_H-M 'P 1'
_symmetry_Int_Tables_number 1
_symmetry_space_group_name_Hall 'P 1'
_cell_length_a 3.868
_cell_length_b 3.868
_cell_length_c 3.868
_cell_angle_alpha 60.00
_cell_angle_beta 60.00
_cell_angle_gamma 60.00
loop_
_atom_site_label
_atom_site_type_symbol
_atom_site_fract_x
_atom_site_fract_y
_atom_site_fract_z
_atom_site_occupancy
Be1 Be 0.000 0.000 0.000 1
Zn1 Zn 0.250 0.250 0.250 1
P1 P 0.750 0.750 0.750 1
```

Largest 9 diffraction maxima, sorted by position, 10° ≤ 2θ ≤ 90°:
2theta	d (Å)	Rel. int.
28.25	3.159	35
32.74	2.735	100
46.98	1.934	88
55.73	1.650	16
58.44	1.579	23
68.62	1.368	13
75.79	1.255	6
78.13	1.223	29
87.31	1.117	28


Number 2 is which compound?
BeV3P2